For Pu2CoSi6Ru, the GGA-PBE geometry in Alexandria gives the computed powder diffractogram in this record (λ = 1.5418 Å (Cu Kα)).
Kinematic intensities with the Lorentz-polarization factor, no thermal factor.

abc: 5.7885 5.7885 35.5269
angles: 90.00 90.00 120.00
Space group R-3m (No. 166, hexagonal axes)
Symmetry-distinct sites (fractional):
1 Pu 0.0000 0.0000 0.1253 [6 per cell]
2 Pu 0.0000 0.0000 0.2815 [6 per cell]
3 Co 0.0000 0.0000 0.0000 [3 per cell]
4 Co 0.0000 0.0000 0.5000 [3 per cell]
5 Si 0.0553 0.5277 0.7175 [18 per cell]
6 Si 0.0587 0.5294 0.8696 [18 per cell]
7 Ru 0.0000 0.0000 0.4228 [6 per cell]

Top 12 peaks for 2θ = 10–80°, by intensity:
| 2θ/deg | I_rel | h k l |
| --- | --- | --- |
| 30.89 | 100 | 1 1 0 |
| 24.97 | 82 | 1 0 7 |
| 40.12 | 53 | 0 2 7 |
| 21.70 | 32 | 0 1 5 |
| 51.48 | 30 | 2 1 7 |
| 38.06 | 26 | 2 0 5 |
| 37.48 | 26 | 1 0 13 |
| 64.38 | 18 | 2 2 0 |
| 39.81 | 17 | 0 1 14 |
| 54.95 | 17 | 3 0 0 |
| 51.23 | 15 | 2 0 14 |
| 49.33 | 15 | 0 2 13 |